[1]
Sc2NiSe: theoretical PXRD pattern (CuKα), based on DFT lattice parameters and positions (GGA-PBE).
Intensities are scaled so that the largest is 100.

Largest 12 diffraction maxima, low angle first, 10 to 90 degrees two-theta:
2theta	I/Imax
25.90	12
27.47	12
33.53	100
34.77	29
39.13	17
41.81	17
45.60	69
45.90	26
49.49	20
58.85	11
61.88	18
69.79	14

Crystal structure
```
Sc2NiSe
1.0
1.842 -10.321 0.000
1.842 10.321 0.000
0.000 0.000 3.954
Sc Ni Se
4 2 2
Direct
0.060 0.940 0.750 Sc
0.333 0.667 0.750 Sc
0.667 0.333 0.250 Sc
0.940 0.060 0.250 Sc
0.463 0.537 0.750 Ni
0.537 0.463 0.250 Ni
0.193 0.807 0.750 Se
0.807 0.193 0.250 Se
```

---

[2]
Sc4Si3Ni4: theoretical PXRD pattern (CuKα), based on DFT lattice parameters and positions (GGA-PBE).
Intensities are scaled so that the largest is 100.

Largest 12 diffraction maxima, low angle first, 10 to 90 degrees two-theta:
2theta	I/Imax
12.55	43
32.01	37
32.84	18
38.29	99
39.31	38
41.49	100
42.86	32
44.00	38
48.32	59
58.89	26
72.30	20
78.58	22

Crystal structure
```
Sc4Si3Ni4
1.0
-1.423 4.003 7.449
1.423 -4.003 7.449
1.423 4.003 -7.449
Sc Si Ni
4 3 4
Direct
0.031 0.847 0.184 Sc
0.337 0.153 0.184 Sc
0.663 0.847 0.816 Sc
0.969 0.153 0.816 Sc
0.000 0.500 0.500 Si
0.400 0.400 0.000 Si
0.600 0.600 0.000 Si
0.272 0.772 0.500 Ni
0.342 0.000 0.342 Ni
0.658 0.000 0.658 Ni
0.728 0.228 0.500 Ni
```